Starting from DFT lattice parameters and positions (GGA+U), the powder X-ray diffraction pattern of Na4CaFe4P6O24 was calculated for λ = 1.5418 Å (Cu Kα).

Peak list (8 most intense, 10° ≤ 2θ ≤ 90°, sorted by position)
2θ 14.00, 6.327 Å, rel. 53
2θ 15.64, 5.666 Å, rel. 81
2θ 28.78, 3.102 Å, rel. 52
2θ 30.70, 2.913 Å, rel. 46
2θ 31.58, 2.833 Å, rel. 56
2θ 32.41, 2.762 Å, rel. 100
2θ 35.21, 2.549 Å, rel. 34
2θ 42.83, 2.111 Å, rel. 37

Structural model:
Cell lengths 8.858, 8.858, 6.479 Å; angles 106.50, 106.50, 91.16 degrees
Fractional coordinates of all 39 atoms:
1 Na 0.000 0.000 0.000
2 Na 0.225 0.771 0.752
3 Na 0.229 0.775 0.248
4 Na 0.726 0.274 0.000
5 Ca 0.471 0.529 0.500
6 Fe 0.107 0.335 0.887
7 Fe 0.343 0.196 0.609
8 Fe 0.665 0.893 0.113
9 Fe 0.804 0.657 0.391
10 P 0.003 0.997 0.500
11 P 0.082 0.415 0.387
12 P 0.380 0.124 0.115
13 P 0.456 0.544 0.000
14 P 0.585 0.918 0.613
15 P 0.876 0.620 0.885
16 O 0.023 0.728 0.929
17 O 0.072 0.289 0.158
18 O 0.137 0.331 0.578
19 O 0.173 0.016 0.477
20 O 0.203 0.557 0.442
21 O 0.272 0.977 0.071
22 O 0.291 0.522 0.033
23 O 0.319 0.208 0.925
24 O 0.387 0.250 0.345
25 O 0.443 0.797 0.558
26 O 0.474 0.415 0.789
27 O 0.478 0.709 0.967
28 O 0.536 0.087 0.632
29 O 0.552 0.086 0.122
30 O 0.585 0.526 0.211
31 O 0.669 0.863 0.422
32 O 0.711 0.928 0.842
33 O 0.750 0.613 0.655
34 O 0.792 0.681 0.075
35 O 0.881 0.012 0.285
36 O 0.913 0.464 0.368
37 O 0.914 0.448 0.878
38 O 0.984 0.827 0.523
39 O 0.988 0.119 0.715